[1]
Diffraction record for Rb2In3GaAu2. The powder X-ray diffraction pattern is simulated, not measured: it uses a cell relaxed with PBE and Cu Kα (weighted mean of Kα1 and Kα2).
Kinematic intensities with the Lorentz-polarization factor, no thermal factor.

Structural model:
Cell: 14.8544 4.1038 11.0176 Å, 90.00 128.29 90.00°
Space group Cm (No. 8)
Inequivalent atoms, fractional coordinates:
1 Rb 0.0000 0.0000 0.0000
2 Rb 0.2479 0.5000 0.0261
3 In 0.0282 0.0000 0.6741
4 In 0.1813 0.5000 0.6306
5 In 0.2508 0.5000 0.4051
6 Ga 0.4951 0.5000 0.3871
7 Au 0.0198 0.5000 0.2712
8 Au 0.3729 0.0000 0.3865

Peak list (8 most intense, 2θ from 10° to 90°, in order of rising 2θ)
10.2 deg, d = 8.647 Å, I = 100.0
23.1 deg, d = 3.843 Å, I = 32.3
31.0 deg, d = 2.882 Å, I = 21.3
31.7 deg, d = 2.822 Å, I = 23.6
32.9 deg, d = 2.719 Å, I = 42.9
37.5 deg, d = 2.398 Å, I = 26.8
39.5 deg, d = 2.282 Å, I = 18.8
44.1 deg, d = 2.052 Å, I = 19.7



[2]
Diffraction record for Sm2YCd3AgAu2. The powder X-ray diffraction pattern is simulated, not measured: it uses a cell relaxed with PBE and Cu Kα (weighted mean of Kα1 and Kα2).
Kinematic intensities with the Lorentz-polarization factor, no thermal factor.

Structural model:
Cell: 3.9278 13.6789 7.9179 Å, 90.00 90.00 90.00°
Space group Amm2 (No. 38)
Inequivalent atoms, fractional coordinates:
1 Sm 0.0000 0.2042 0.0000
2 Y 0.0000 0.0000 0.3872
3 Cd 0.5000 0.0000 0.0563
4 Cd 0.5000 0.1293 0.6649
5 Ag 0.0000 0.0000 0.7953
6 Au 0.5000 0.1653 0.2968

Peak list (8 most intense, 2θ from 10° to 90°, in order of rising 2θ)
32.1 deg, d = 2.787 Å, I = 100.0
34.7 deg, d = 2.588 Å, I = 46.8
34.8 deg, d = 2.581 Å, I = 99.2
39.5 deg, d = 2.283 Å, I = 56.1
41.8 deg, d = 2.161 Å, I = 39.1
46.2 deg, d = 1.964 Å, I = 26.1
62.4 deg, d = 1.489 Å, I = 28.9
63.8 deg, d = 1.458 Å, I = 25.0